# 1
This entry pairs a crystal structure of Mg14CuMo with its calculated powder diffraction line list. Radiation: CuKα. Structure: a cell relaxed with PBE.

The 8 most intense peaks (2θ from 5° to 70°), sorted by position:
d = 9.936 Å, 8.9 deg, intensity 65
d = 4.714 Å, 18.8 deg, intensity 21
d = 2.707 Å, 33.1 deg, intensity 27
d = 2.484 Å, 36.2 deg, intensity 35
d = 2.377 Å, 37.8 deg, intensity 100
d = 2.357 Å, 38.2 deg, intensity 47
d = 1.830 Å, 49.8 deg, intensity 16
d = 1.551 Å, 59.6 deg, intensity 17

Cell and atoms:
```
data_Mg14CuMo
_chemical_formula_sum 'Mg28 Cu2 Mo2'
_space_group_name_H-M_alt 'A m m 2'
_space_group_IT_number 38
_cell_length_a 9.936
_cell_length_b 6.275
_cell_length_c 10.710
_cell_angle_alpha 90.00
_cell_angle_beta 90.00
_cell_angle_gamma 90.00
loop_
_space_group_symop_operation_xyz
'x,y,z'
'-x,-y,z'
'-x,y,z'
'x,-y,z'
'x,y+1/2,z+1/2'
'-x,-y+1/2,z+1/2'
'-x,y+1/2,z+1/2'
'x,-y+1/2,z+1/2'
loop_
_atom_site_label
_atom_site_type_symbol
_atom_site_fract_x
_atom_site_fract_y
_atom_site_fract_z
_atom_site_occupancy
Mg1 Mg 0.000 0.000 0.000 1
Mg2 Mg 0.000 0.000 0.499 1
Mg3 Mg 0.000 0.250 0.247 1
Mg4 Mg 0.257 0.000 0.835 1
Mg5 Mg 0.258 0.000 0.331 1
Mg6 Mg 0.272 0.250 0.074 1
Mg7 Mg 0.500 0.247 0.753 1
Cu1 Cu 0.500 0.000 0.494 1
Mo1 Mo 0.500 0.000 0.996 1
```

# 2
This entry pairs a crystal structure of Dy2Pa3Se8 with its calculated powder diffraction line list. Radiation: CuKα. Structure: a cell relaxed with PBE.

The 8 most intense peaks (2θ from 5° to 70°), sorted by position:
d = 7.030 Å, 12.6 deg, intensity 67
d = 4.444 Å, 20.0 deg, intensity 49
d = 3.512 Å, 25.4 deg, intensity 37
d = 3.293 Å, 27.1 deg, intensity 71
d = 2.674 Å, 33.5 deg, intensity 100
d = 2.657 Å, 33.7 deg, intensity 58
d = 2.286 Å, 39.4 deg, intensity 66
d = 1.970 Å, 46.1 deg, intensity 60

Cell and atoms:
```
data_Dy2Pa3Se8
_chemical_formula_sum 'Dy4 Pa6 Se16'
_space_group_name_H-M_alt 'C 1 2/m 1'
_space_group_IT_number 12
_cell_length_a 14.720
_cell_length_b 8.100
_cell_length_c 6.763
_cell_angle_alpha 90.00
_cell_angle_beta 107.03
_cell_angle_gamma 90.00
loop_
_space_group_symop_operation_xyz
'x,y,z'
'-x,-y,-z'
'-x,y,-z'
'x,-y,z'
'x+1/2,y+1/2,z'
'-x+1/2,-y+1/2,-z'
'-x+1/2,y+1/2,-z'
'x+1/2,-y+1/2,z'
loop_
_atom_site_label
_atom_site_type_symbol
_atom_site_fract_x
_atom_site_fract_y
_atom_site_fract_z
_atom_site_occupancy
Dy1 Dy 0.245 0.000 0.169 1
Pa1 Pa 0.000 0.259 0.500 1
Pa2 Pa 0.000 0.500 0.000 1
Se1 Se 0.107 0.000 0.395 1
Se2 Se 0.127 0.256 0.916 1
Se3 Se 0.131 0.500 0.418 1
```